Record 1
Structure and theoretical PXRD pattern of Te2MoWS2 (the PBE geometry in the Materials Project; a wavelength of 1.5418 Å).
No peak broadening, texture or thermal motion is included.

Crystal structure
```
Te2MoWS2
1.0
3.3645 0.0000 0.0000
-1.6823 2.9138 0.0000
0.0000 0.0000 38.3154
Te Mo W S
4 2 2 4
direct
0.0000 0.0000 0.0000
0.0000 0.0000 0.0992
0.0000 0.0000 0.3758
0.0000 0.0000 0.4748
0.0000 0.0000 0.2375
0.0000 0.0000 0.8617
0.3333 0.6667 0.0496
0.3333 0.6667 0.4253
0.3333 0.6667 0.1980
0.3333 0.6667 0.2769
0.3333 0.6667 0.8223
0.3333 0.6667 0.9012
```

Main lines, low angle first (10 to 90 degrees two-theta):
Position (°2θ), intensity
11.5, 100
13.9, 16
30.7, 45
32.9, 17
36.1, 96
38.8, 18
40.4, 19
43.7, 46
54.6, 32
67.2, 15

Record 2
Structure and theoretical PXRD pattern of CaSn2O4 (the PBE geometry in the Materials Project; a wavelength of 1.5418 Å).
No peak broadening, texture or thermal motion is included.

Crystal structure
```
CaSn2O4
1.0
6.3409 0.0000 0.0000
0.0000 11.9580 0.0000
0.0000 0.0000 6.9409
Ca Sn O
4 8 16
direct
0.2500 0.2500 0.0527
0.2500 0.7500 0.7022
0.7500 0.2500 0.2978
0.7500 0.7500 0.9473
0.0000 0.0000 0.0000
0.0000 0.5000 0.0000
0.2500 0.0449 0.3988
0.2500 0.4551 0.3988
0.5000 0.0000 0.0000
0.5000 0.5000 0.0000
0.7500 0.5449 0.6012
0.7500 0.9551 0.6012
0.0130 0.1246 0.2230
0.0130 0.3754 0.2230
0.2500 0.0860 0.8735
0.2500 0.4140 0.8735
0.2500 0.5756 0.1626
0.2500 0.9244 0.1626
0.4870 0.1246 0.2230
0.4870 0.3754 0.2230
0.5130 0.6246 0.7770
0.5130 0.8754 0.7770
0.7500 0.0756 0.8374
0.7500 0.4244 0.8374
0.7500 0.5860 0.1265
0.7500 0.9140 0.1265
0.9870 0.6246 0.7770
0.9870 0.8754 0.7770
```

Main lines, low angle first (10 to 90 degrees two-theta):
Position (°2θ), intensity
12.8, 14
14.8, 100
24.1, 17
29.4, 23
29.8, 18
31.0, 27
33.0, 19
34.5, 48
39.8, 12
43.6, 14

Record 3
Structure and theoretical PXRD pattern of Cs2Mn3S4 (the PBE geometry in the Materials Project; a wavelength of 1.5418 Å).
No peak broadening, texture or thermal motion is included.

Crystal structure
```
Cs2Mn3S4
1.0
-3.0636 5.8389 7.1110
3.0636 -5.8389 7.1110
3.0636 5.8389 -7.1110
Cs Mn S
4 6 8
direct
0.1202 0.2372 0.3574
0.3798 0.7372 0.1170
0.6202 0.2628 0.8830
0.8798 0.7628 0.6426
0.0249 0.2500 0.7749
0.2500 0.7500 0.5000
0.4751 0.2500 0.2251
0.5249 0.7500 0.7749
0.7500 0.2500 0.5000
0.9751 0.7500 0.2251
0.0211 0.4398 0.1485
0.2087 0.0602 0.5813
0.2913 0.8726 0.8515
0.4789 0.6274 0.4187
0.5211 0.3726 0.5813
0.7087 0.1274 0.1485
0.7913 0.9398 0.4187
0.9789 0.5602 0.8515
```

Main lines, low angle first (10 to 90 degrees two-theta):
Position (°2θ), intensity
21.9, 41
25.0, 25
28.3, 100
31.8, 35
33.2, 28
38.1, 16
42.8, 28
48.6, 20
49.5, 23
51.2, 16